# 1
Diffraction record for PmNd7Tm2. The powder diffraction line list is simulated, not measured: it uses a structure optimized by DFT (GGA-PBE) and a wavelength of 1.5418 Å.
Kinematic intensities with the Lorentz-polarization factor, no thermal factor.

Most intense lines, 2θ from 5° to 70°, sorted by position:
hkl 1 2 -2, 30.09°, d 2.970, intensity 1000
hkl -1 1 2, 30.35°, d 2.945, intensity 667
hkl 1 1 1, 30.72°, d 2.910, intensity 792
hkl 0 1 -3, 32.26°, d 2.775, intensity 352
hkl 0 3 -1, 32.43°, d 2.761, intensity 870
hkl 2 3 -1, 52.83°, d 1.733, intensity 222

Atomic structure:
a = 5.6359 Å, b = 8.5034 Å, c = 8.5593 Å
α = 114.39°, β = 100.73°, γ = 100.50°
Space group P-1 (No. 2)
Symmetry-distinct sites (fractional):
Pm: 0.0000 0.0000 0.0000
Nd: 0.0000 0.5000 0.5000
Nd: 0.3282 0.4823 0.2226
Nd: 0.3332 0.7264 0.9822
Nd: 0.4979 0.1185 0.3826
Tm: 0.0872 0.2140 0.7154

---

# 2
Diffraction record for Pm5Nd2Tm4. The powder diffraction line list is simulated, not measured: it uses a structure optimized by DFT (GGA-PBE) and a wavelength of 1.5418 Å.
Kinematic intensities with the Lorentz-polarization factor, no thermal factor.

Most intense lines, 2θ from 5° to 70°, sorted by position:
hkl 0 2 6, 30.08°, d 2.970, intensity 501
hkl 0 0 8, 30.44°, d 2.937, intensity 355
hkl 0 3 3, 31.57°, d 2.834, intensity 647
hkl 1 2 1, 32.32°, d 2.770, intensity 1000
hkl 1 1 6, 35.65°, d 2.519, intensity 384
hkl 1 0 7, 36.97°, d 2.431, intensity 474

Atomic structure:
a = 3.5271 Å, b = 9.1185 Å, c = 23.4935 Å
α = 90.00°, β = 90.00°, γ = 90.00°
Space group Immm (No. 71)
Symmetry-distinct sites (fractional):
Pm: 0.0000 0.0000 0.0000
Pm: 0.0000 0.3014 0.3575
Nd: 0.0000 0.5000 0.2320
Tm: 0.0000 0.1840 0.5000
Tm: 0.0000 0.5000 0.0961

---

Question: Number 1 is which compound?
Answer: PmNd7Tm2

---

Question: What is the formula in the second record?
Answer: Pm5Nd2Tm4